1.
Structure and calculated XRD peak list of NaHf4N4Cl4 (a cell relaxed with PBE; Cu Kα).

Principal peaks in the range 2θ from 15° to 90°, sorted by position:
- 2θ 28.9, I 55
- 2θ 31.9, I 100
- 2θ 32.1, I 49
- 2θ 35.2, I 54
- 2θ 41.3, I 42
- 2θ 50.2, I 33

Structure:
```
data_NaHf4N4Cl4
_chemical_formula_sum 'Na1 Hf4 N4 Cl4'
_cell_length_a 6.2857
_cell_length_b 3.6438
_cell_length_c 10.3900
_cell_angle_alpha 90.00
_cell_angle_beta 101.99
_cell_angle_gamma 90.00
_space_group_name_H-M_alt 'P 1 2/m 1'
_space_group_IT_number 10
loop_
_space_group_symop_operation_xyz
'x,y,z'
'-x,-y,-z'
'-x,y,-z'
'x,-y,z'
loop_
_atom_site_label
_atom_site_fract_x
_atom_site_fract_y
_atom_site_fract_z
Na1 0.0000 0.0000 0.0000
Hf1 0.2093 0.0000 0.6177
Hf2 0.2940 0.5000 0.3786
N1 0.1332 0.0000 0.4093
N2 0.3609 0.5000 0.5879
Cl1 0.1053 0.5000 0.8196
Cl2 0.3942 0.0000 0.1896
```

---

2.
Structure and calculated XRD peak list of KRbCaH4 (a cell relaxed with PBE; Cu Kα).

Principal peaks in the range 2θ from 15° to 90°, sorted by position:
- 2θ 21.0, I 17
- 2θ 27.4, I 100
- 2θ 28.5, I 51
- 2θ 40.7, I 19
- 2θ 47.7, I 16
- 2θ 49.7, I 36

Structure:
```
data_KRbCaH4
_chemical_formula_sum 'K2 Rb2 Ca2 H8'
_cell_length_a 4.4356
_cell_length_b 4.4356
_cell_length_c 14.3892
_cell_angle_alpha 90.00
_cell_angle_beta 90.00
_cell_angle_gamma 90.00
_space_group_name_H-M_alt 'I 4 m m'
_space_group_IT_number 107
_space_group_name_Hall 'I 4 -2'
loop_
_atom_site_label
_atom_site_fract_x
_atom_site_fract_y
_atom_site_fract_z
K1 0.0000 0.0000 0.0000
Rb1 0.0000 0.0000 0.7031
Ca1 0.0000 0.0000 0.3533
H1 0.0000 0.0000 0.1923
H2 0.0000 0.0000 0.5110
H3 0.0000 0.5000 0.3562
```

---

3.
Structure and calculated XRD peak list of NdH6Pd8 (a cell relaxed with PBE; Cu Kα).

Principal peaks in the range 2θ from 15° to 90°, sorted by position:
- 2θ 37.1, I 34
- 2θ 37.1, I 100
- 2θ 40.8, I 26
- 2θ 44.1, I 21
- 2θ 44.4, I 20
- 2θ 61.7, I 15

Structure:
```
data_NdH6Pd8
_chemical_formula_sum 'Nd1 H6 Pd8'
_cell_length_a 4.1079
_cell_length_b 6.4545
_cell_length_c 6.9344
_cell_angle_alpha 73.95
_cell_angle_beta 89.91
_cell_angle_gamma 71.45
_space_group_name_H-M_alt 'P -1'
_space_group_IT_number 2
loop_
_space_group_symop_operation_xyz
'x,y,z'
'-x,-y,-z'
loop_
_atom_site_label
_atom_site_fract_x
_atom_site_fract_y
_atom_site_fract_z
Nd1 0.0000 0.0000 0.0000
H1 0.1158 0.8323 0.3881
H2 0.2609 0.3995 0.7137
H3 0.4170 0.2259 0.2776
Pd1 0.1166 0.7692 0.6716
Pd2 0.2207 0.5553 0.3314
Pd3 0.3288 0.3418 0.9979
Pd4 0.4473 0.1087 0.6619
```